The following is a calculated powder XRD pattern of P2PdS4. It was derived from a DFT-relaxed cell (PBE, Alexandria), using Cu Kα (weighted mean of Kα1 and Kα2).
Peak positions follow from Bragg's law for the DFT cell and can differ from measured ones.

Largest 12 diffraction maxima, in order of rising 2θ, 10° ≤ 2θ ≤ 90°:
- (1 0 1), 19.54 deg, I = 100
- (2 0 0), 25.70 deg, I = 15
- (0 0 2), 29.71 deg, I = 20
- (1 2 1), 32.49 deg, I = 69
- (1 1 2), 35.01 deg, I = 32
- (2 2 0), 36.66 deg, I = 30
- (2 3 1), 49.79 deg, I = 19
- (1 3 2), 51.60 deg, I = 50
- (1 2 3), 54.51 deg, I = 14
- (4 1 1), 56.86 deg, I = 19
- (4 2 0), 59.64 deg, I = 12
- (3 5 2), 88.41 deg, I = 14

Structural model:
Cell lengths 6.9327, 6.9327, 6.0134 Å; angles 90.00, 90.00, 90.00 degrees
Space group I4/m (No. 87)
Symmetry-distinct sites (fractional):
P (0.0000, 0.5000, 0.2500) x4
Pd (0.0000, 0.0000, 0.0000) x2
S (0.1603, 0.3113, 0.0000) x8